Structure and computed X-ray powder pattern of Li4MnCo2O7 (a DFT-relaxed cell (PBE+U, the Materials Project); CuKα).

Top 10 peaks for 15° ≤ 2θ ≤ 90°, sorted by position:
2θ/deg	d (Å)	I (rel.)
18.30	4.847	100
35.84	2.506	14
36.05	2.491	25
37.70	2.386	8
43.47	2.082	27
43.57	2.077	56
47.71	1.906	9
57.36	1.606	14
63.04	1.475	14
63.44	1.466	14

Structure:
```
Li4MnCo2O7
1.0
10.5969 -1.4561 0.0000
10.5969 1.4561 0.0000
-1.7012 0.0000 8.1508
Li Mn Co O
8 2 4 14
Direct
0.0000 0.0000 0.0000
0.0049 0.0049 0.4921
0.1374 0.1374 0.0655
0.2777 0.2777 0.6416
0.4346 0.4346 0.1884
0.5730 0.5730 0.7985
0.7059 0.7059 0.3515
0.8559 0.8559 0.9218
0.4287 0.4287 0.7231
0.8561 0.8561 0.4274
0.1382 0.1382 0.5633
0.2847 0.2847 0.1362
0.5672 0.5672 0.2565
0.7127 0.7127 0.8503
0.0020 0.0020 0.2507
0.1372 0.1372 0.3223
0.1470 0.1470 0.8195
0.2803 0.2803 0.8846
0.2943 0.2943 0.4017
0.4188 0.4188 0.4685
0.4243 0.4243 0.9376
0.5710 0.5710 0.0419
0.5741 0.5741 0.5363
0.7077 0.7077 0.6032
0.7219 0.7219 0.1035
0.8509 0.8509 0.1925
0.8628 0.8628 0.6661
0.9885 0.9885 0.7396
```



Structure and computed X-ray powder pattern of Li7Mn2Co3O12 (a DFT-relaxed cell (PBE+U, the Materials Project); CuKα).

Top 10 peaks for 15° ≤ 2θ ≤ 90°, sorted by position:
2θ/deg	d (Å)	I (rel.)
18.39	4.825	100
35.80	2.508	15
36.13	2.486	14
36.39	2.469	12
43.27	2.091	30
43.79	2.067	29
44.07	2.055	28
47.84	1.901	9
63.12	1.473	16
63.40	1.467	15

Structure:
```
Li7Mn2Co3O12
1.0
5.1043 0.0000 0.0000
1.6329 5.6392 0.0000
1.6753 0.9821 7.4066
Li Mn Co O
7 2 3 12
Direct
0.0000 0.0000 0.0000
0.0002 0.1573 0.3416
0.0029 0.6646 0.3374
0.0026 0.8422 0.6569
0.0056 0.4955 0.0003
0.0077 0.3240 0.6638
0.5027 0.9998 0.4997
0.5026 0.1623 0.8301
0.5077 0.3268 0.1680
0.4986 0.8318 0.1811
0.5041 0.6725 0.8245
0.5049 0.4919 0.5011
0.2662 0.8251 0.4055
0.2704 0.4772 0.7520
0.2714 0.0017 0.7625
0.2803 0.3416 0.4029
0.2830 0.1692 0.0793
0.2852 0.6440 0.0767
0.7231 0.3277 0.9232
0.7254 0.8497 0.9177
0.7308 0.6509 0.5920
0.7343 0.1699 0.6000
0.7363 0.4927 0.2438
0.7368 0.0170 0.2408
```



Structure and computed X-ray powder pattern of Li4MnCo2O7 (a DFT-relaxed cell (PBE+U, the Materials Project); CuKα).

Top 10 peaks for 15° ≤ 2θ ≤ 90°, sorted by position:
2θ/deg	d (Å)	I (rel.)
18.37	4.831	100
35.53	2.527	15
36.27	2.477	13
36.31	2.474	13
42.77	2.114	29
44.07	2.055	54
58.06	1.589	9
62.70	1.482	8
62.89	1.478	8
63.45	1.466	8

Structure:
```
Li4MnCo2O7
1.0
5.0419 0.0000 0.0000
-0.9437 5.0798 0.0000
-1.7596 -1.9023 9.7610
Li Mn Co O
8 2 4 14
Direct
0.0000 0.0000 0.0000
0.0000 0.0000 0.5000
0.1283 0.2829 0.2895
0.2727 0.5784 0.5730
0.4215 0.8569 0.8580
0.5785 0.1431 0.1420
0.7273 0.4216 0.4270
0.8717 0.7171 0.7105
0.4318 0.8655 0.3600
0.5682 0.1345 0.6400
0.1398 0.2736 0.7793
0.2816 0.5695 0.0720
0.7184 0.4305 0.9280
0.8602 0.7264 0.2207
0.0619 0.6353 0.9003
0.0791 0.6545 0.3796
0.2217 0.9239 0.1881
0.2359 0.9446 0.6799
0.3603 0.2323 0.9589
0.3781 0.1904 0.4672
0.4875 0.4573 0.7445
0.5125 0.5427 0.2555
0.6219 0.8096 0.5328
0.6397 0.7677 0.0411
0.7641 0.0554 0.3201
0.7783 0.0761 0.8119
0.9209 0.3455 0.6204
0.9381 0.3647 0.0997
```



Structure and computed X-ray powder pattern of Li7Mn4CoO12 (a DFT-relaxed cell (PBE+U, the Materials Project); CuKα).

Top 10 peaks for 15° ≤ 2θ ≤ 90°, sorted by position:
2θ/deg	d (Å)	I (rel.)
15.62	5.674	10
18.43	4.815	100
34.77	2.580	18
36.44	2.466	24
41.95	2.154	29
44.35	2.042	52
58.47	1.579	9
62.60	1.484	14
62.78	1.480	14
65.07	1.434	11

Structure:
```
Li7Mn4CoO12
1.0
5.7361 0.0000 0.0000
-0.0019 5.8181 0.0000
-2.8675 -2.8631 12.9227
Li Mn Co O
14 8 2 24
Direct
0.0000 0.0000 0.0000
0.0000 0.0000 0.5000
0.0000 0.5000 0.0000
0.1642 0.6636 0.3305
0.1770 0.6714 0.8540
0.3191 0.3255 0.1385
0.3336 0.3361 0.6691
0.5000 0.0000 0.0000
0.5000 0.0000 0.5000
0.5000 0.5000 0.0000
0.6664 0.6639 0.3309
0.6809 0.6745 0.8615
0.8230 0.3286 0.1460
0.8358 0.3364 0.6695
0.1650 0.1685 0.3306
0.1728 0.1752 0.8456
0.3267 0.8248 0.1532
0.3342 0.8316 0.6696
0.6658 0.1684 0.3304
0.6733 0.1752 0.8468
0.8272 0.8248 0.1544
0.8350 0.8315 0.6694
0.0000 0.5000 0.5000
0.5000 0.5000 0.5000
0.0821 0.0585 0.1602
0.0839 0.6081 0.1659
0.0849 0.6070 0.6701
0.0904 0.0721 0.6810
0.2427 0.2452 0.9853
0.2443 0.7245 0.4968
0.2484 0.2740 0.5033
0.2568 0.7538 0.0135
0.4113 0.9350 0.3224
0.4182 0.3919 0.8341
0.4215 0.9414 0.8398
0.4240 0.4079 0.3479
0.5760 0.5921 0.6521
0.5785 0.0586 0.1602
0.5818 0.6081 0.1659
0.5887 0.0650 0.6776
0.7432 0.2462 0.9865
0.7516 0.7260 0.4967
0.7557 0.2755 0.5032
0.7573 0.7548 0.0147
0.9096 0.9279 0.3190
0.9151 0.3930 0.3299
0.9161 0.3919 0.8341
0.9179 0.9415 0.8398
```



Structure and computed X-ray powder pattern of Li2MnCoO4 (a DFT-relaxed cell (PBE+U, the Materials Project); CuKα).

Top 10 peaks for 15° ≤ 2θ ≤ 90°, sorted by position:
2θ/deg	d (Å)	I (rel.)
18.24	4.863	100
33.12	2.705	24
36.62	2.454	28
37.40	2.404	9
39.54	2.279	36
44.76	2.025	47
46.70	1.945	12
58.86	1.569	9
60.95	1.520	16
61.53	1.507	16

Structure:
```
Li2MnCoO4
1.0
5.3714 -2.8302 0.0000
5.3714 2.8302 0.0000
-2.3055 0.0000 4.9180
Li Mn Co O
4 2 2 8
Direct
0.1232 0.3732 0.2456
0.3732 0.1232 0.7456
0.6268 0.8768 0.2544
0.8768 0.6268 0.7544
0.3728 0.6272 0.7500
0.6272 0.3728 0.2500
0.1249 0.8751 0.2500
0.8751 0.1249 0.7500
0.0042 0.7653 0.5245
0.2347 0.9958 0.9755
0.2565 0.5131 0.0250
0.4869 0.7435 0.4750
0.5131 0.2565 0.5250
0.7435 0.4869 0.9750
0.7653 0.0042 0.0245
0.9958 0.2347 0.4755
```



Structure and computed X-ray powder pattern of Li7Mn2Co3O12 (a DFT-relaxed cell (PBE+U, the Materials Project); CuKα).

Top 10 peaks for 15° ≤ 2θ ≤ 90°, sorted by position:
2θ/deg	d (Å)	I (rel.)
18.37	4.831	100
35.79	2.509	14
36.11	2.487	14
36.14	2.486	13
43.23	2.093	29
43.81	2.067	56
57.74	1.597	9
62.96	1.476	15
63.52	1.465	15
80.36	1.195	10

Structure:
```
Li7Mn2Co3O12
1.0
5.0535 0.0000 0.0000
-1.6595 4.8311 0.0000
-0.0646 -0.0944 8.7862
Li Mn Co O
7 2 3 12
Direct
0.0000 0.0000 0.0000
0.0007 0.0022 0.6619
0.4909 0.9981 0.5100
0.4941 0.4958 0.6674
0.4949 0.9955 0.8274
0.5011 0.0000 0.1691
0.9884 0.9926 0.3406
0.4999 0.5035 0.0003
0.9930 0.4904 0.5048
0.4962 0.4969 0.3457
0.9967 0.4997 0.1685
0.9987 0.5001 0.8277
0.2172 0.7303 0.6596
0.2226 0.7196 0.3411
0.2303 0.2662 0.4951
0.2485 0.2773 0.8498
0.2614 0.7302 0.0041
0.2686 0.2830 0.1651
0.7390 0.7259 0.1620
0.7436 0.2767 0.0062
0.7443 0.7167 0.4917
0.7463 0.7202 0.8483
0.7578 0.2640 0.3399
0.7700 0.2620 0.6604
```